# Ca2Nb2NiO8
Simulated powder diffractogram, Cu Kα. Input: a structure optimized by DFT (GGA+U).
Intensities are scaled so that the largest is 100.

Principal peaks in the range 15° ≤ 2θ ≤ 90°, sorted by position:
2θ 27.51, intensity 61; 2θ 31.75, intensity 100; 2θ 32.32, intensity 82; 2θ 32.54, intensity 57; 2θ 33.01, intensity 69; 2θ 50.02, intensity 47

```
data_Ca2Nb2NiO8
_cell_length_a 18.9817
_cell_length_b 6.2376
_cell_length_c 5.5046
_cell_angle_alpha 90.00
_cell_angle_beta 91.32
_cell_angle_gamma 90.00
_space_group_name_H-M_alt 'C 1 2/c 1'
_space_group_IT_number 15
_space_group_name_Hall '-C 2yc'
loop_
_atom_site_label
_atom_site_type_symbol
_atom_site_fract_x
_atom_site_fract_y
_atom_site_fract_z
Ca1 Ca 0.2074 0.1953 0.2434
Nb1 Nb 0.1094 0.3411 0.7620
Ni1 Ni 0.0000 0.1365 0.2500
O1 O 0.0551 0.1403 0.5850
O2 O 0.0692 0.3684 0.0996
O3 O 0.1819 0.4437 0.5209
O4 O 0.1831 0.1417 0.8475
```